No. 1
For Pr3Ga8Co3, DFT lattice parameters and positions (PBE) gives the calculated XRD peak list in this record (Cu Kα (weighted mean of Kα1 and Kα2)).
No peak broadening, texture or thermal motion is included.

Atomic structure:
```
14
Lattice="7.9523 -2.2032 0.0000 7.9523 2.2032 0.0000 -4.4525 0.0000 7.3142" Properties=species:S:1:pos:R:3 pbc="T T T"
Pr 0.0000 0.0000 0.0000
Pr 3.1938 0.0000 2.2453
Pr 8.2584 0.0000 5.0689
Ga 0.1328 0.0000 3.0526
Ga -1.4935 0.0000 6.2519
Ga 2.3196 0.0000 5.4562
Ga 6.3263 0.0000 2.2777
Ga 5.1259 0.0000 5.0364
Ga 9.1326 0.0000 1.8580
Ga 12.9457 0.0000 1.0623
Ga 11.3193 0.0000 4.2615
Co -2.2262 0.0000 3.6571
Co 0.7486 0.0000 7.3071
Co 10.7036 0.0000 0.0071
```

Top 10 peaks for 10° ≤ 2θ ≤ 90°, in order of rising 2θ:
2theta	I (rel.)
34.05	209
34.79	195
35.09	1000
35.58	189
37.56	342
39.81	126
40.15	247
40.96	465
47.84	152
70.82	126

No. 2
For Pr2GaCo2, DFT lattice parameters and positions (PBE) gives the calculated XRD peak list in this record (Cu Kα (weighted mean of Kα1 and Kα2)).
No peak broadening, texture or thermal motion is included.

Atomic structure:
```
10
Lattice="4.7806 -2.8045 0.0000 4.7806 2.8045 0.0000 -1.8639 0.0000 7.5135" Properties=species:S:1:pos:R:3 pbc="T T T"
Pr 1.8018 1.9707 6.4216
Pr 4.9636 1.9707 4.8487
Pr 2.7338 -1.9707 2.6648
Pr 5.8955 -1.9707 1.0920
Ga 4.3146 0.7010 1.8784
Ga 3.3827 -0.7010 5.6351
Co 2.4780 0.8156 3.7157
Co 6.1513 0.8156 0.0410
Co 1.5460 -0.8156 7.4725
Co 5.2194 -0.8156 3.7978
```

Top 10 peaks for 10° ≤ 2θ ≤ 90°, in order of rising 2θ:
2theta	I (rel.)
26.70	223
32.69	394
34.13	1000
36.58	275
37.60	202
37.90	332
38.41	567
40.87	354
54.96	195
67.64	244

No. 3
For PrGa6Co6, DFT lattice parameters and positions (PBE) gives the calculated XRD peak list in this record (Cu Kα (weighted mean of Kα1 and Kα2)).
No peak broadening, texture or thermal motion is included.

Atomic structure:
```
13
Lattice="-2.5348 4.1382 4.3462 2.5348 -4.1382 4.3462 2.5348 4.1382 -4.3462" Properties=species:S:1:pos:R:3 pbc="T T T"
Pr 0.0000 0.0000 0.0000
Ga 2.5348 0.0000 1.6577
Ga 0.0000 2.8468 0.0000
Ga 0.0000 0.0000 3.0133
Ga 0.0000 0.0000 5.6791
Ga 0.0000 5.4296 0.0000
Ga 0.0000 4.1382 2.6885
Co 1.2674 2.0691 -2.1731
Co 1.2674 -2.0691 2.1731
Co 2.5348 2.0046 0.0000
Co -1.2674 2.0691 2.1731
Co 1.2674 2.0691 2.1731
Co 0.0000 2.1336 4.3462
```

Top 10 peaks for 10° ≤ 2θ ≤ 90°, in order of rising 2θ:
2theta	I (rel.)
35.41	364
35.69	654
37.10	282
41.23	566
41.56	347
41.79	553
42.03	1000
42.72	532
43.75	464
46.95	596

No. 4
For PrGa8Co2, DFT lattice parameters and positions (PBE) gives the calculated XRD peak list in this record (Cu Kα (weighted mean of Kα1 and Kα2)).
No peak broadening, texture or thermal motion is included.

Atomic structure:
```
44
Lattice="12.4510 0.0000 0.0000 0.0000 14.4304 0.0000 0.0000 0.0000 4.0541" Properties=species:S:1:pos:R:3 pbc="T T T"
Pr 1.9651 2.5879 0.0000
Pr 4.2604 9.8031 0.0000
Pr 8.1906 4.6273 0.0000
Pr 10.4859 11.8425 0.0000
Ga 0.0000 0.0000 0.0000
Ga 0.0000 7.2152 2.0271
Ga 0.2908 12.5263 2.0271
Ga 0.6082 4.6097 2.0271
Ga 1.2194 10.7883 0.0000
Ga 1.9767 6.5750 0.0000
Ga 2.0187 8.9742 2.0271
Ga 2.1410 0.1250 2.0271
Ga 2.9725 11.9027 2.0271
Ga 3.2530 4.6874 2.0271
Ga 4.0845 7.3402 2.0271
Ga 4.2068 1.7590 2.0271
Ga 4.2488 13.7903 0.0000
Ga 5.0061 3.5730 0.0000
Ga 5.6173 11.8249 2.0271
Ga 5.9347 5.3111 2.0271
Ga 6.2255 0.0000 2.0271
Ga 6.2255 7.2152 0.0000
Ga 6.5163 9.1193 2.0271
Ga 6.8337 2.6055 2.0271
Ga 7.4449 10.8574 0.0000
Ga 8.2022 0.6402 0.0000
Ga 8.2442 12.6714 2.0271
Ga 8.3665 7.0902 2.0271
Ga 9.1980 9.7430 2.0271
Ga 9.4785 2.5278 2.0271
Ga 10.3100 14.3055 2.0271
Ga 10.4323 5.4562 2.0271
Ga 10.4744 7.8554 0.0000
Ga 11.2316 3.6422 0.0000
Ga 11.8428 9.8208 2.0271
Ga 12.1602 1.9041 2.0271
Co 0.4399 8.5951 0.0000
Co 1.9224 13.0489 0.0000
Co 4.3031 5.8337 0.0000
Co 5.7856 1.3799 0.0000
Co 6.6654 13.0506 0.0000
Co 8.1479 8.5968 0.0000
Co 10.5286 1.3815 0.0000
Co 12.0111 5.8354 0.0000
```

Top 10 peaks for 10° ≤ 2θ ≤ 90°, in order of rising 2θ:
2theta	I (rel.)
34.04	726
36.17	1000
36.38	292
36.94	365
44.24	598
44.51	284
44.71	628
46.40	315
66.40	207
76.75	236

No. 5
For Pr3Ga4Co2, DFT lattice parameters and positions (PBE) gives the calculated XRD peak list in this record (Cu Kα (weighted mean of Kα1 and Kα2)).
No peak broadening, texture or thermal motion is included.

Atomic structure:
```
9
Lattice="5.2961 -2.2174 0.0000 5.2961 2.2174 0.0000 -1.6608 0.0000 8.0387" Properties=species:S:1:pos:R:3 pbc="T T T"
Pr 0.0000 0.0000 0.0000
Pr 3.5861 0.0000 2.4393
Pr 5.3452 0.0000 5.5994
Ga 0.4848 0.0000 3.2850
Ga 1.4963 0.0000 7.3122
Ga 7.4350 0.0000 0.7264
Ga 8.4465 0.0000 4.7537
Co 2.2199 0.0000 5.0068
Co 6.7114 0.0000 3.0319
```

Top 10 peaks for 10° ≤ 2θ ≤ 90°, in order of rising 2θ:
2theta	I (rel.)
32.50	1000
32.84	564
32.96	924
33.44	329
34.42	415
38.58	372
40.69	620
43.40	372
52.01	328
54.31	268

No. 6
For Pu2Ga6CoPt, DFT lattice parameters and positions (PBE) gives the calculated XRD peak list in this record (Cu Kα (weighted mean of Kα1 and Kα2)).
No peak broadening, texture or thermal motion is included.

Atomic structure:
```
10
Lattice="0.0000 4.6728 4.6728 4.6728 0.0000 4.6728 4.6728 4.6728 0.0000" Properties=species:S:1:pos:R:3 pbc="T T T"
Pu 2.3364 2.3364 2.3364
Pu 7.0093 7.0093 7.0093
Ga 4.6728 4.6728 2.2470
Ga 4.6728 2.2470 4.6728
Ga 7.0987 4.6728 4.6728
Ga 2.2470 4.6728 4.6728
Ga 4.6728 7.0987 4.6728
Ga 4.6728 4.6728 7.0987
Co 0.0000 0.0000 0.0000
Pt 4.6728 4.6728 4.6728
```

Top 10 peaks for 10° ≤ 2θ ≤ 90°, in order of rising 2θ:
2theta	I (rel.)
26.98	1000
33.21	507
38.53	803
47.67	436
55.63	548
62.89	203
66.35	201
69.71	184
76.24	232
88.85	121

No. 7
For Pu3Ga5Co3, DFT lattice parameters and positions (PBE) gives the calculated XRD peak list in this record (Cu Kα (weighted mean of Kα1 and Kα2)).
No peak broadening, texture or thermal motion is included.

Atomic structure:
```
11
Lattice="3.8170 -5.2475 0.0000 3.8170 5.2475 0.0000 -2.2680 0.0000 4.9560" Properties=species:S:1:pos:R:3 pbc="T T T"
Pu 0.0000 0.0000 0.0000
Pu 1.6390 2.6870 0.7224
Pu 1.6390 -2.6870 0.7224
Ga 3.4581 3.9481 2.8226
Ga 1.5488 0.0000 4.6685
Ga 3.5102 1.2888 2.8386
Ga 3.5102 -1.2888 2.8386
Ga 3.4581 -3.9481 2.8226
Co 1.5735 2.4874 3.6444
Co 1.5735 -2.4874 3.6444
Co 5.3575 0.0000 1.8312
```

Top 10 peaks for 10° ≤ 2θ ≤ 90°, in order of rising 2θ:
2theta	I (rel.)
15.30	285
29.86	658
30.89	693
34.64	469
37.30	277
38.81	1000
40.25	456
41.21	467
42.46	385
47.78	327

No. 8
For Pu4Ga16Co3, DFT lattice parameters and positions (PBE) gives the calculated XRD peak list in this record (Cu Kα (weighted mean of Kα1 and Kα2)).
No peak broadening, texture or thermal motion is included.

Atomic structure:
```
23
Lattice="6.0500 0.0000 0.0000 0.0000 6.0500 0.0000 0.0000 0.0000 11.1018" Properties=species:S:1:pos:R:3 pbc="T T T"
Pu 0.0000 3.0250 2.1315
Pu 0.0000 3.0250 8.9703
Pu 3.0250 0.0000 2.1315
Pu 3.0250 0.0000 8.9703
Ga 0.0000 0.0000 2.2504
Ga 0.0000 0.0000 8.8515
Ga 1.3360 1.3360 0.0000
Ga 1.3360 4.7140 0.0000
Ga 1.5107 1.5107 4.2542
Ga 1.5107 1.5107 6.8476
Ga 1.5107 4.5393 4.2542
Ga 1.5107 4.5393 6.8476
Ga 3.0250 3.0250 2.4209
Ga 3.0250 3.0250 8.6810
Ga 4.5393 1.5107 4.2542
Ga 4.5393 1.5107 6.8476
Ga 4.5393 4.5393 4.2542
Ga 4.5393 4.5393 6.8476
Ga 4.7140 1.3360 0.0000
Ga 4.7140 4.7140 0.0000
Co 0.0000 3.0250 5.5509
Co 3.0250 0.0000 5.5509
Co 3.0250 3.0250 0.0000
```

Top 10 peaks for 10° ≤ 2θ ≤ 90°, in order of rising 2θ:
2theta	I (rel.)
20.76	379
31.98	383
33.74	589
38.44	1000
40.63	268
42.25	667
53.96	213
60.06	326
61.29	212
74.71	260